Record 1
Calculated powder XRD pattern
Compound: NaMg6Sn
Radiation: λ = 1.5418 Å (Cu Kα)
Structure: the GGA-PBE geometry in the Materials Project

Structural model:
Cell: 5.1669 6.5501 6.5501 Å, 59.16 90.00 90.00°
Element x y z (fractional)
Na (0.0000, 0.0000, 0.0000)
Mg (0.0000, 0.0010, 0.4978)
Mg (0.0000, 0.4978, 0.0010)
Mg (0.5000, 0.1639, 0.6657)
Mg (0.5000, 0.1682, 0.1682)
Mg (0.5000, 0.6657, 0.1639)
Mg (0.5000, 0.6688, 0.6688)
Sn (0.0000, 0.4988, 0.4988)

Main lines, in order of falling intensity (10° ≤ 2θ ≤ 90°):
- 2θ 36.37, I = 100
- 2θ 36.01, I = 51
- 2θ 15.76, I = 50
- 2θ 23.38, I = 41
- 2θ 34.72, I = 36
- 2θ 31.82, I = 29

Record 2
Calculated powder XRD pattern
Compound: Na2MgSn
Radiation: λ = 1.5418 Å (Cu Kα)
Structure: the GGA-PBE geometry in the Materials Project

Structural model:
Cell: 5.0826 5.0826 10.0706 Å, 90.00 90.00 120.00°
Element x y z (fractional)
Na (0.3333, 0.6667, 0.0797)
Na (0.3333, 0.6667, 0.4203)
Na (0.6667, 0.3333, 0.5797)
Na (0.6667, 0.3333, 0.9203)
Mg (0.0000, 0.0000, 0.2500)
Mg (0.0000, 0.0000, 0.7500)
Sn (0.3333, 0.6667, 0.7500)
Sn (0.6667, 0.3333, 0.2500)

Main lines, in order of falling intensity (10° ≤ 2θ ≤ 90°):
- 2θ 33.57, I = 100
- 2θ 22.04, I = 93
- 2θ 35.32, I = 77
- 2θ 17.61, I = 54
- 2θ 39.73, I = 43
- 2θ 49.52, I = 33

Record 3
Calculated powder XRD pattern
Compound: NaMg6Sn
Radiation: λ = 1.5418 Å (Cu Kα)
Structure: the GGA-PBE geometry in the Materials Project

Structural model:
Cell: 5.1939 6.4967 6.4967 Å, 60.26 90.00 90.00°
Element x y z (fractional)
Na (0.0000, 0.0000, 0.0000)
Mg (0.0000, 0.0008, 0.5010)
Mg (0.0000, 0.4988, 0.4988)
Mg (0.0000, 0.5010, 0.0008)
Mg (0.5000, 0.1701, 0.6626)
Mg (0.5000, 0.6626, 0.1701)
Mg (0.5000, 0.6661, 0.6661)
Sn (0.5000, 0.1677, 0.1677)

Main lines, in order of falling intensity (10° ≤ 2θ ≤ 90°):
- 2θ 36.24, I = 100
- 2θ 15.73, I = 71
- 2θ 23.29, I = 60
- 2θ 36.36, I = 49
- 2θ 34.54, I = 37
- 2θ 31.72, I = 30

Record 4
Calculated powder XRD pattern
Compound: NaMg6Ti
Radiation: λ = 1.5418 Å (Cu Kα)
Structure: the GGA-PBE geometry in the Materials Project

Structural model:
Cell: 5.1568 6.4095 6.4095 Å, 59.89 90.00 90.00°
Element x y z (fractional)
Na (0.0000, 0.0000, 0.0000)
Mg (0.0000, 0.0071, 0.4863)
Mg (0.0000, 0.4863, 0.0071)
Mg (0.0000, 0.5009, 0.5009)
Mg (0.5000, 0.1662, 0.6659)
Mg (0.5000, 0.6659, 0.1662)
Mg (0.5000, 0.6689, 0.6689)
Ti (0.5000, 0.1747, 0.1747)

Main lines, in order of falling intensity (10° ≤ 2θ ≤ 90°):
- 2θ 36.79, I = 100
- 2θ 34.79, I = 26
- 2θ 32.27, I = 25
- 2θ 69.04, I = 18
- 2θ 63.69, I = 18
- 2θ 48.18, I = 15

Record 5
Calculated powder XRD pattern
Compound: NaMg6Ti
Radiation: λ = 1.5418 Å (Cu Kα)
Structure: the GGA-PBE geometry in the Materials Project

Structural model:
Cell: 5.0909 6.3865 6.3865 Å, 63.21 90.00 90.00°
Element x y z (fractional)
Na (0.0000, 0.0000, 0.0000)
Mg (0.0000, 0.0021, 0.4945)
Mg (0.0000, 0.4945, 0.0021)
Mg (0.5000, 0.3345, 0.3345)
Mg (0.5000, 0.3405, 0.8129)
Mg (0.5000, 0.8129, 0.3405)
Mg (0.5000, 0.8254, 0.8254)
Ti (0.0000, 0.5030, 0.5030)

Main lines, in order of falling intensity (10° ≤ 2θ ≤ 90°):
- 2θ 36.11, I = 100
- 2θ 37.49, I = 40
- 2θ 35.26, I = 35
- 2θ 31.38, I = 22
- 2θ 63.84, I = 17
- 2θ 69.58, I = 16

Record 6
Calculated powder XRD pattern
Compound: NaMg14V
Radiation: λ = 1.5418 Å (Cu Kα)
Structure: the GGA-PBE geometry in the Materials Project

Structural model:
Cell: 6.4259 6.4259 10.1655 Å, 90.00 90.00 120.00°
Element x y z (fractional)
Na (0.0000, 0.0000, 0.0000)
Mg (0.0009, 0.5004, 0.5000)
Mg (0.0037, 0.5018, 0.0000)
Mg (0.1651, 0.3302, 0.2574)
Mg (0.1651, 0.3302, 0.7426)
Mg (0.1651, 0.8349, 0.2574)
Mg (0.1651, 0.8349, 0.7426)
Mg (0.4982, 0.5018, 0.0000)
Mg (0.4982, 0.9963, 0.0000)
Mg (0.4996, 0.5004, 0.5000)
Mg (0.4996, 0.9991, 0.5000)
Mg (0.6667, 0.3333, 0.2485)
Mg (0.6667, 0.3333, 0.7515)
Mg (0.6698, 0.8349, 0.2574)
Mg (0.6698, 0.8349, 0.7426)
V (0.0000, 0.0000, 0.5000)

Main lines, in order of falling intensity (10° ≤ 2θ ≤ 90°):
- 2θ 36.83, I = 100
- 2θ 35.32, I = 25
- 2θ 32.17, I = 25
- 2θ 69.18, I = 19
- 2θ 64.38, I = 17
- 2θ 57.36, I = 17

Record 7
Calculated powder XRD pattern
Compound: NaMg14V
Radiation: λ = 1.5418 Å (Cu Kα)
Structure: the GGA-PBE geometry in the Materials Project

Structural model:
Cell: 10.2339 6.3840 6.3840 Å, 60.53 90.00 90.00°
Element x y z (fractional)
Na (0.0000, 0.0000, 0.0000)
Mg (0.0000, 0.0006, 0.5007)
Mg (0.0000, 0.5007, 0.0006)
Mg (0.2447, 0.6640, 0.6640)
Mg (0.2488, 0.1750, 0.6611)
Mg (0.2488, 0.6611, 0.1750)
Mg (0.2535, 0.1687, 0.1687)
Mg (0.5000, 0.9997, 0.9997)
Mg (0.5000, 0.9998, 0.5011)
Mg (0.5000, 0.5002, 0.5002)
Mg (0.5000, 0.5011, 0.9998)
Mg (0.7465, 0.1687, 0.1687)
Mg (0.7512, 0.1750, 0.6611)
Mg (0.7512, 0.6611, 0.1750)
Mg (0.7553, 0.6640, 0.6640)
V (0.0000, 0.4992, 0.4992)

Main lines, in order of falling intensity (10° ≤ 2θ ≤ 90°):
- 2θ 36.80, I = 100
- 2θ 37.04, I = 49
- 2θ 35.07, I = 38
- 2θ 32.21, I = 24
- 2θ 69.41, I = 18
- 2θ 64.05, I = 18

Record 8
Calculated powder XRD pattern
Compound: NaMg14W
Radiation: λ = 1.5418 Å (Cu Kα)
Structure: the GGA-PBE geometry in the Materials Project

Structural model:
Cell: 6.3622 6.3622 10.0456 Å, 90.00 90.00 120.00°
Element x y z (fractional)
Na (0.0000, 0.0000, 0.0000)
Mg (0.0045, 0.5023, 0.0000)
Mg (0.1621, 0.3241, 0.2632)
Mg (0.1621, 0.3241, 0.7368)
Mg (0.1621, 0.8379, 0.2632)
Mg (0.1621, 0.8379, 0.7368)
Mg (0.4977, 0.5023, 0.0000)
Mg (0.4977, 0.9955, 0.0000)
Mg (0.5004, 0.0009, 0.5000)
Mg (0.5004, 0.4996, 0.5000)
Mg (0.6667, 0.3333, 0.2482)
Mg (0.6667, 0.3333, 0.7518)
Mg (0.6759, 0.8379, 0.2632)
Mg (0.6759, 0.8379, 0.7368)
Mg (0.9991, 0.4996, 0.5000)
W (0.0000, 0.0000, 0.5000)

Main lines, in order of falling intensity (10° ≤ 2θ ≤ 90°):
- 2θ 37.22, I = 100
- 2θ 18.37, I = 60
- 2θ 16.09, I = 40
- 2θ 32.50, I = 29
- 2θ 23.97, I = 28
- 2θ 35.75, I = 24